This entry pairs a crystal structure of K2BeNiF6 with its theoretical XRD peak list. Radiation: Cu Ka. Structure: a GGA+U-relaxed structure.
Neutral-atom scattering factors, no anomalous dispersion.

Principal peaks in the range 2θ from 5° to 70°, in order of falling intensity:
2θ/deg  d_spacing  I (rel.)  (hkl)
32.56  2.750  100  2 0 2
46.89  1.937  88  4 0 0
40.21  2.243  62  2 2 2
19.79  4.486  57  1 1 1
32.68  2.740  50  2 2 0
68.19  1.375  46  4 0 4
46.52  1.952  45  0 0 4
38.50  2.338  39  3 1 1

Atomic structure:
abc: 7.746 7.754 7.809
angles: 90.00 90.00 90.00
Space group Fmmm (No. 69)
One atom of each set of equivalent atoms:
K (0.250, 0.250, 0.250) [8 per cell]
Be (0.000, 0.000, 0.000) [4 per cell]
Ni (0.000, 0.000, 0.500) [4 per cell]
F (0.000, 0.000, 0.237) [8 per cell]
F (0.000, 0.234, 0.000) [8 per cell]
F (0.234, 0.000, 0.000) [8 per cell]